Starting from DFT lattice parameters and positions (GGA-PBE), the X-ray diffraction stick pattern of CrAgRh2 was calculated for Cu Ka.
Neutral-atom scattering factors, no anomalous dispersion.

Top 8 peaks for 2θ from 5° to 70°, in order of rising 2θ:
| two_theta | d (Å) | intensity |
| --- | --- | --- |
| 34.72 | 2.584 | 12 |
| 34.98 | 2.565 | 10 |
| 40.38 | 2.234 | 100 |
| 46.84 | 1.940 | 35 |
| 47.25 | 1.924 | 11 |
| 59.77 | 1.547 | 8 |
| 68.40 | 1.372 | 11 |
| 68.72 | 1.366 | 14 |

Structure:
```
CrAgRh2
1.0
2.7432 0.0000 0.0000
0.0000 2.7432 0.0000
0.0000 0.0000 7.6951
Cr Ag Rh
1 1 2
direct
0.0000 0.0000 0.0000 Cr
0.0000 0.0000 0.5000 Ag
0.5000 0.5000 0.2168 Rh
0.5000 0.5000 0.7832 Rh
```



Starting from DFT lattice parameters and positions (GGA-PBE), the X-ray diffraction stick pattern of LiCu3F7 was calculated for Cu Ka.
Neutral-atom scattering factors, no anomalous dispersion.

Top 8 peaks for 2θ from 5° to 70°, in order of rising 2θ:
| two_theta | d (Å) | intensity |
| --- | --- | --- |
| 14.75 | 6.005 | 57 |
| 28.59 | 3.122 | 23 |
| 29.08 | 3.071 | 57 |
| 29.76 | 3.002 | 100 |
| 35.66 | 2.517 | 26 |
| 47.80 | 1.903 | 26 |
| 53.33 | 1.718 | 32 |
| 58.37 | 1.581 | 23 |

Structure:
```
LiCu3F7
1.0
5.8549 -3.6884 0.0000
5.8549 3.6884 0.0000
-3.2688 0.0000 6.1412
Li Cu F
2 6 14
direct
0.0000 0.0000 0.0000 Li
0.0000 0.0000 0.5000 Li
0.0000 0.5000 0.0000 Cu
0.0000 0.5000 0.5000 Cu
0.5000 0.0000 0.0000 Cu
0.5000 0.0000 0.5000 Cu
0.5000 0.5000 0.0000 Cu
0.5000 0.5000 0.5000 Cu
0.0924 0.1855 0.4103 F
0.1419 0.4976 0.3041 F
0.1855 0.0924 0.9103 F
0.1936 0.6358 0.0076 F
0.3642 0.8064 0.4924 F
0.3978 0.6022 0.7500 F
0.4976 0.1419 0.8041 F
0.5024 0.8581 0.1959 F
0.6022 0.3978 0.2500 F
0.6358 0.1936 0.5076 F
0.8064 0.3642 0.9924 F
0.8145 0.9076 0.0897 F
0.8581 0.5024 0.6959 F
0.9076 0.8145 0.5897 F
```



Starting from DFT lattice parameters and positions (GGA-PBE), the X-ray diffraction stick pattern of Cd2In5Pb4 was calculated for Cu Ka.
Neutral-atom scattering factors, no anomalous dispersion.

Top 8 peaks for 2θ from 5° to 70°, in order of rising 2θ:
| two_theta | d (Å) | intensity |
| --- | --- | --- |
| 30.38 | 2.942 | 27 |
| 31.71 | 2.821 | 48 |
| 32.85 | 2.726 | 100 |
| 33.54 | 2.672 | 27 |
| 33.89 | 2.645 | 57 |
| 34.76 | 2.581 | 52 |
| 35.13 | 2.554 | 33 |
| 52.07 | 1.756 | 30 |

Structure:
```
Cd2In5Pb4
1.0
8.2814 0.0000 0.0000
0.0000 3.5107 0.0000
-1.1138 0.0000 10.7882
Cd In Pb
2 5 4
direct
0.0579 0.0000 0.1360 Cd
0.9421 0.0000 0.8640 Cd
0.2016 0.0000 0.6696 In
0.4283 0.0000 0.2073 In
0.5000 0.0000 0.5000 In
0.5717 0.0000 0.7927 In
0.7984 0.0000 0.3304 In
0.1532 0.5000 0.3964 Pb
0.2910 0.5000 0.9433 Pb
0.7090 0.5000 0.0567 Pb
0.8468 0.5000 0.6036 Pb
```



Starting from DFT lattice parameters and positions (GGA-PBE), the X-ray diffraction stick pattern of PaH3F7 was calculated for Cu Ka.
Neutral-atom scattering factors, no anomalous dispersion.

Top 8 peaks for 2θ from 5° to 70°, in order of rising 2θ:
| two_theta | d (Å) | intensity |
| --- | --- | --- |
| 19.01 | 4.668 | 100 |
| 19.12 | 4.642 | 95 |
| 27.09 | 3.291 | 57 |
| 33.28 | 2.692 | 45 |
| 38.57 | 2.334 | 31 |
| 43.40 | 2.085 | 30 |
| 43.55 | 2.078 | 39 |
| 51.84 | 1.764 | 35 |

Structure:
```
PaH3F7
1.0
4.6680 2.6951 1.8896
-4.6680 2.6951 1.8896
0.0000 -5.3901 1.8896
Pa H F
1 3 7
direct
0.0000 0.0000 0.0000 Pa
0.4451 0.4451 0.9161 H
0.4451 0.9161 0.4451 H
0.9161 0.4451 0.4451 H
0.0260 0.6750 0.6750 F
0.2504 0.2504 0.8198 F
0.2504 0.8198 0.2504 F
0.3739 0.3739 0.3739 F
0.6750 0.0260 0.6750 F
0.6750 0.6750 0.0260 F
0.8198 0.2504 0.2504 F
```



Starting from DFT lattice parameters and positions (GGA-PBE), the X-ray diffraction stick pattern of Pm7Nd2Dy2 was calculated for Cu Ka.
Neutral-atom scattering factors, no anomalous dispersion.

Top 8 peaks for 2θ from 5° to 70°, in order of rising 2θ:
| two_theta | d (Å) | intensity |
| --- | --- | --- |
| 28.17 | 3.168 | 70 |
| 29.14 | 3.065 | 100 |
| 29.81 | 2.998 | 54 |
| 30.51 | 2.930 | 48 |
| 31.32 | 2.856 | 68 |
| 31.80 | 2.814 | 78 |
| 35.11 | 2.556 | 40 |
| 35.69 | 2.516 | 50 |

Structure:
```
Pm7Nd2Dy2
1.0
4.4650 -6.3345 0.0000
4.4650 6.3345 0.0000
-1.7197 0.0000 6.8053
Pm Nd Dy
7 2 2
direct
0.0000 0.0000 0.0000 Pm
0.0908 0.5850 0.7909 Pm
0.3232 0.3232 0.3818 Pm
0.4150 0.9092 0.2091 Pm
0.5850 0.0908 0.7909 Pm
0.6768 0.6768 0.6182 Pm
0.9092 0.4150 0.2091 Pm
0.3226 0.3226 0.8857 Nd
0.6774 0.6774 0.1143 Nd
0.1216 0.8784 0.5000 Dy
0.8784 0.1216 0.5000 Dy
```